Tb2Dy4Er5: simulated PXRD pattern (Cu Kα (weighted mean of Kα1 and Kα2)), based on DFT lattice parameters and positions (GGA-PBE).
Intensities are scaled so that the largest is 100.

Largest 10 diffraction maxima, in order of rising 2θ, 10 to 90 degrees two-theta:
- 2θ 29.10, I = 15
- 2θ 29.63, I = 38
- 2θ 30.52, I = 16
- 2θ 31.29, I = 59
- 2θ 32.73, I = 100
- 2θ 32.88, I = 97
- 2θ 50.34, I = 18
- 2θ 56.50, I = 15
- 2θ 56.81, I = 15
- 2θ 60.48, I = 18

Structural model:
```
Tb2Dy4Er5
1.0
10.649 -1.813 0.000
10.649 1.813 0.000
-1.983 0.000 8.904
Tb Dy Er
2 4 5
Direct
0.114 0.114 0.005
0.886 0.886 0.995
0.172 0.172 0.418
0.472 0.472 0.797
0.528 0.528 0.203
0.828 0.828 0.582
0.000 0.000 0.500
0.251 0.251 0.829
0.382 0.382 0.305
0.618 0.618 0.695
0.749 0.749 0.171
```